Starting from a structure optimized by DFT (GGA-PBE), the PXRD pattern of Hf2ZrNi3As4Pd was computed for CuKα.

Cell: 6.5249 3.8342 7.3993 Å, 90.00 90.03 90.00°
Space group Pm (No. 6)
Asymmetric unit:
Hf1 0.0000 0.0000 0.0000
Hf2 0.4493 0.5000 0.4911
Zr1 0.9358 0.5000 0.6199
Ni1 0.0973 0.0000 0.3637
Ni2 0.6268 0.0000 0.7478
Ni3 0.8491 0.5000 0.2467
As1 0.2278 0.5000 0.1996
As2 0.2308 0.0000 0.6714
As3 0.7132 0.5000 0.9407
As4 0.7236 0.0000 0.4108
Pd1 0.3307 0.5000 0.8766

Main lines, in order of falling intensity (2θ = 15–90°):
2theta	d [Å]	I (rel.)
38.21	2.355	100
36.45	2.465	74
43.63	2.074	47
18.13	4.894	41
47.42	1.917	39
39.04	2.307	30
36.15	2.485	30
26.97	3.306	27
36.73	2.447	22
48.56	1.875	21